1.
The following is a simulated powder diffraction line list of CePrAg. It was derived from a crystal structure in Alexandria, relaxed with GGA-PBE, using λ = 1.5418 Å (Cu Kα).
Peak positions follow from Bragg's law for the DFT cell and can differ from measured ones.

Largest 12 diffraction maxima, by angle, 10° ≤ 2θ ≤ 80°:
hkl, Position (°2θ), I_rel
0 6 0, 31.41, 28.7
0 0 2, 32.54, 28.6
1 3 1, 33.93, 100.0
0 6 2, 45.86, 19.9
2 0 0, 51.49, 7.7
1 9 1, 57.55, 17.8
1 3 3, 58.96, 19.9
2 6 0, 61.57, 8.1
2 0 2, 62.25, 8.6
2 6 2, 71.40, 10.4
0 12 2, 75.13, 4.2
1 9 3, 77.14, 7.5

```
data_CePrAg
_chemical_formula_sum 'Ce4 Pr4 Ag4'
_cell_length_a 3.549
_cell_length_b 17.087
_cell_length_c 5.503
_cell_angle_alpha 90.00
_cell_angle_beta 90.00
_cell_angle_gamma 90.00
_symmetry_space_group_name_H-M 'C m c m'
_symmetry_Int_Tables_number 63
_symmetry_space_group_name_Hall '-C 2c 2'
loop_
_atom_site_label
_atom_site_type_symbol
_atom_site_fract_x
_atom_site_fract_y
_atom_site_fract_z
Ce1 Ce 0.000 0.238 0.250
Pr1 Pr 0.000 0.078 0.750
Ag1 Ag 0.000 0.414 0.750
```

2.
The following is a simulated powder diffraction line list of PrSm2Dy6. It was derived from a crystal structure in Alexandria, relaxed with GGA-PBE, using λ = 1.5418 Å (Cu Kα).
Peak positions follow from Bragg's law for the DFT cell and can differ from measured ones.

Largest 12 diffraction maxima, by angle, 10° ≤ 2θ ≤ 80°:
hkl, Position (°2θ), I_rel
2 0 0, 27.47, 14.1
1 1 1, 27.96, 10.6
0 0 2, 29.37, 16.2
0 2 1, 31.23, 100.0
1 0 2, 32.51, 14.5
2 1 0, 36.61, 10.6
2 0 2, 40.65, 24.6
3 0 1, 44.42, 11.1
2 2 0, 48.56, 20.8
0 2 3, 53.27, 10.7
4 0 1, 58.88, 12.5
1 2 3, 59.11, 10.4

```
data_PrSm2Dy6
_chemical_formula_sum 'Pr1 Sm2 Dy6'
_cell_length_a 7.4987
_cell_length_b 7.4987
_cell_length_c 6.0816
_cell_angle_alpha 90.00
_cell_angle_beta 90.00
_cell_angle_gamma 120.00
_symmetry_space_group_name_H-M 'P -3 m 1'
_symmetry_Int_Tables_number 164
_symmetry_space_group_name_Hall '-P 3 2"'
loop_
_atom_site_label
_atom_site_type_symbol
_atom_site_fract_x
_atom_site_fract_y
_atom_site_fract_z
Pr1 Pr 0.0000 0.0000 0.0000
Sm1 Sm 0.3333 0.6667 0.7866
Dy1 Dy 0.1876 0.3751 0.2962
```

3.
The following is a simulated powder diffraction line list of LaCe2Ge2Pd2. It was derived from a crystal structure in Alexandria, relaxed with GGA-PBE, using λ = 1.5418 Å (Cu Kα).
Peak positions follow from Bragg's law for the DFT cell and can differ from measured ones.

Largest 12 diffraction maxima, by angle, 10° ≤ 2θ ≤ 80°:
hkl, Position (°2θ), I_rel
1 0 1, 23.22, 7.4
0 1 5, 28.40, 12.8
1 0 7, 32.82, 100.0
0 1 8, 35.33, 25.0
1 1 0, 40.37, 79.2
0 2 7, 52.97, 25.5
0 1 14, 53.15, 9.9
2 0 8, 54.71, 7.1
1 1 12, 58.26, 10.6
1 1 15, 66.83, 13.2
2 1 7, 68.65, 23.1
3 0 0, 73.41, 13.3

```
data_LaCe2Ge2Pd2
_chemical_formula_sum 'La3 Ce6 Ge6 Pd6'
_cell_length_a 4.4680
_cell_length_b 4.4680
_cell_length_c 26.9431
_cell_angle_alpha 90.00
_cell_angle_beta 90.00
_cell_angle_gamma 120.00
_symmetry_space_group_name_H-M 'R -3 m'
_symmetry_Int_Tables_number 166
_symmetry_space_group_name_Hall '-R 3 2"'
loop_
_atom_site_label
_atom_site_type_symbol
_atom_site_fract_x
_atom_site_fract_y
_atom_site_fract_z
La1 La 0.0000 0.0000 0.0000
Ce1 Ce 0.0000 0.0000 0.1400
Ge1 Ge 0.0000 0.0000 0.2594
Pd1 Pd 0.0000 0.0000 0.4167
```

4.
The following is a simulated powder diffraction line list of Zr4Sc3. It was derived from a crystal structure in Alexandria, relaxed with GGA-PBE, using λ = 1.5418 Å (Cu Kα).
Peak positions follow from Bragg's law for the DFT cell and can differ from measured ones.

Largest 12 diffraction maxima, by angle, 10° ≤ 2θ ≤ 80°:
hkl, Position (°2θ), I_rel
1 0 0, 11.85, 19.1
1 1 1, 26.96, 3.0
1 2 0, 31.69, 24.3
0 0 2, 34.84, 24.6
1 2 1, 36.28, 100.0
1 2 2, 47.80, 14.7
4 1 0, 56.44, 17.0
1 2 3, 63.40, 18.2
2 4 0, 66.17, 3.5
4 1 2, 68.06, 18.8
2 4 1, 68.96, 13.6
2 4 2, 77.02, 3.7

```
data_Zr4Sc3
_chemical_formula_sum 'Zr8 Sc6'
_cell_length_a 8.6271
_cell_length_b 8.6271
_cell_length_c 5.1509
_cell_angle_alpha 90.00
_cell_angle_beta 90.00
_cell_angle_gamma 120.00
_symmetry_space_group_name_H-M 'P 63/m'
_symmetry_Int_Tables_number 176
_symmetry_space_group_name_Hall '-P 6c'
loop_
_atom_site_label
_atom_site_type_symbol
_atom_site_fract_x
_atom_site_fract_y
_atom_site_fract_z
Zr1 Zr 0.0988 0.6152 0.2500
Zr2 Zr 0.3333 0.6667 0.7500
Sc1 Sc 0.0483 0.8062 0.7500
```